1.
Tb5Co2Si: calculated powder X-ray diffraction pattern (λ = 1.5418 Å (Cu Kα)), based on a DFT-relaxed cell (PBE, Alexandria).
Neutral-atom scattering factors, no anomalous dispersion.

Atomic structure:
```
Tb5Co2Si
1.0
-3.7363 3.7363 6.5723
3.7363 -3.7363 6.5723
3.7363 3.7363 -6.5723
Tb Co Si
10 4 2
direct
0.0000 0.0000 0.0000
0.0271 0.5271 0.8355
0.1916 0.0271 0.5000
0.3084 0.8084 0.8355
0.4729 0.3084 0.5000
0.5000 0.5000 0.0000
0.5271 0.6916 0.5000
0.6916 0.1916 0.1645
0.8084 0.9729 0.5000
0.9729 0.4729 0.1645
0.1184 0.3816 0.5000
0.3816 0.8816 0.2632
0.6184 0.1184 0.7368
0.8816 0.6184 0.5000
0.2500 0.2500 0.0000
0.7500 0.7500 0.0000
```

The 10 most intense peaks (10 to 90 degrees two-theta), sorted by position:
- 2θ = 27.51°, I 45
- 2θ = 32.07°, I 16
- 2θ = 33.73°, I 100
- 2θ = 33.93°, I 12
- 2θ = 36.41°, I 40
- 2θ = 38.08°, I 44
- 2θ = 50.86°, I 13
- 2θ = 54.81°, I 17
- 2θ = 56.19°, I 14
- 2θ = 59.55°, I 20



2.
RbPmCd10: calculated powder X-ray diffraction pattern (λ = 1.5418 Å (Cu Kα)), based on a DFT-relaxed cell (PBE, Alexandria).
Neutral-atom scattering factors, no anomalous dispersion.

Atomic structure:
```
RbPmCd10
1.0
4.8572 0.0000 0.0000
0.0000 6.1383 0.0000
0.0000 0.0000 10.4982
Rb Pm Cd
1 1 10
direct
0.0000 0.0000 0.0000
0.0000 0.5000 0.5000
0.0000 0.0000 0.3383
0.0000 0.0000 0.6617
0.0000 0.5000 0.1728
0.0000 0.5000 0.8272
0.5000 0.0000 0.5000
0.5000 0.2644 0.2725
0.5000 0.2644 0.7275
0.5000 0.5000 0.0000
0.5000 0.7356 0.2725
0.5000 0.7356 0.7275
```

The 10 most intense peaks (10 to 90 degrees two-theta), sorted by position:
- 2θ = 29.38°, I 18
- 2θ = 33.83°, I 27
- 2θ = 34.57°, I 49
- 2θ = 34.81°, I 100
- 2θ = 37.02°, I 46
- 2θ = 38.71°, I 37
- 2θ = 39.01°, I 18
- 2θ = 55.34°, I 22
- 2θ = 65.30°, I 20
- 2θ = 73.50°, I 18



3.
NaPmSi2: calculated powder X-ray diffraction pattern (λ = 1.5418 Å (Cu Kα)), based on a DFT-relaxed cell (PBE, Alexandria).
Neutral-atom scattering factors, no anomalous dispersion.

Atomic structure:
```
NaPmSi2
1.0
6.5848 0.0000 0.0000
0.0000 4.3502 0.0000
0.0000 0.0000 13.3892
Na Pm Si
4 4 8
direct
0.2470 0.2500 0.0268
0.2530 0.7500 0.5268
0.7470 0.2500 0.4732
0.7530 0.7500 0.9732
0.2429 0.2500 0.3027
0.2571 0.7500 0.8027
0.7429 0.2500 0.1973
0.7571 0.7500 0.6973
0.0590 0.7500 0.1653
0.0730 0.2500 0.6649
0.4270 0.7500 0.1649
0.4410 0.2500 0.6653
0.5590 0.7500 0.3347
0.5730 0.2500 0.8351
0.9270 0.7500 0.3351
0.9410 0.2500 0.8347
```

The 10 most intense peaks (10 to 90 degrees two-theta), sorted by position:
- 2θ = 13.23°, I 100
- 2θ = 18.90°, I 21
- 2θ = 21.48°, I 36
- 2θ = 27.08°, I 21
- 2θ = 29.95°, I 37
- 2θ = 31.78°, I 93
- 2θ = 34.82°, I 79
- 2θ = 41.52°, I 20
- 2θ = 41.93°, I 30
- 2θ = 49.67°, I 19



4.
Mg13Tl2: calculated powder X-ray diffraction pattern (λ = 1.5418 Å (Cu Kα)), based on a DFT-relaxed cell (PBE, Alexandria).
Neutral-atom scattering factors, no anomalous dispersion.

Atomic structure:
```
Mg13Tl2
1.0
5.4515 0.0000 0.0000
0.0822 7.8840 0.0000
0.9231 2.7600 8.1666
Mg Tl
13 2
direct
0.0000 0.0000 0.0000
0.1378 0.2656 0.1994
0.2044 0.4057 0.8048
0.2708 0.5341 0.3976
0.3325 0.6669 0.9993
0.3922 0.8007 0.6027
0.4664 0.9345 0.1949
0.5336 0.0655 0.8051
0.6078 0.1993 0.3973
0.6675 0.3331 0.0007
0.7292 0.4659 0.6024
0.7956 0.5943 0.1952
0.8622 0.7343 0.8006
0.0757 0.1424 0.6057
0.9243 0.8576 0.3943
```

The 10 most intense peaks (10 to 90 degrees two-theta), sorted by position:
- 2θ = 10.83°, I 100
- 2θ = 11.85°, I 53
- 2θ = 16.36°, I 54
- 2θ = 18.49°, I 49
- 2θ = 20.00°, I 37
- 2θ = 20.63°, I 41
- 2θ = 33.77°, I 54
- 2θ = 34.02°, I 61
- 2θ = 34.12°, I 53
- 2θ = 34.94°, I 59



5.
SrCdCl2: calculated powder X-ray diffraction pattern (λ = 1.5418 Å (Cu Kα)), based on a DFT-relaxed cell (PBE, Alexandria).
Neutral-atom scattering factors, no anomalous dispersion.

Atomic structure:
```
SrCdCl2
1.0
-2.2540 2.2540 5.3886
2.2540 -2.2540 5.3886
2.2540 2.2540 -5.3886
Sr Cd Cl
1 1 2
direct
0.0000 0.0000 0.0000
0.2500 0.7500 0.5000
0.5000 0.5000 0.0000
0.7500 0.2500 0.5000
```

The 10 most intense peaks (10 to 90 degrees two-theta), sorted by position:
- 2θ = 21.37°, I 32
- 2θ = 31.85°, I 13
- 2θ = 32.64°, I 100
- 2θ = 33.25°, I 24
- 2θ = 40.00°, I 28
- 2θ = 52.96°, I 23
- 2θ = 59.03°, I 17
- 2θ = 68.03°, I 21
- 2θ = 68.39°, I 11
- 2θ = 87.32°, I 11



What is the formula in the first record? Tb5Co2Si